Record 1
Diffraction record for Ba3Ce. The powder XRD pattern is simulated, not measured: it uses a DFT-relaxed cell (GGA-PBE, the Materials Project) and Cu Ka.
No peak broadening, texture or thermal motion is included.

The 10 most intense peaks (2θ = 10–90°), by angle:
d 3.762, rel. 23, (2 0 0)
d 3.469, rel. 25, (0 0 2)
d 3.307, rel. 100, (2 0 1)
d 2.550, rel. 17, (2 0 2)
d 2.172, rel. 20, (2 2 0)
d 1.970, rel. 23, (2 0 3)
d 1.841, rel. 25, (2 2 2)
d 1.815, rel. 17, (4 0 1)
d 1.393, rel. 14, (4 2 1)
d 1.211, rel. 9, (4 2 3)

Structural model:
```
data_Ba3Ce
_symmetry_space_group_name_H-M 'P 63/m m c'
_symmetry_Int_Tables_number 194
_symmetry_space_group_name_Hall '-P 6c 2c'
_cell_length_a 8.6876
_cell_length_b 8.6876
_cell_length_c 6.9380
_cell_angle_alpha 90.00
_cell_angle_beta 90.00
_cell_angle_gamma 120.00
loop_
_atom_site_label
_atom_site_fract_x
_atom_site_fract_y
_atom_site_fract_z
Ba1 0.1716 0.3432 0.2500
Ce1 0.3333 0.6667 0.7500
```

Record 2
Diffraction record for Ba4CeEu3Tl2Cu4O18. The powder XRD pattern is simulated, not measured: it uses a DFT-relaxed cell (GGA-PBE, the Materials Project) and Cu Ka.
No peak broadening, texture or thermal motion is included.

The 10 most intense peaks (2θ = 10–90°), by angle:
d 3.636, rel. 20, (0 2 1)
d 2.933, rel. 100, (0 2 3)
d 2.742, rel. 48, (1 2 -1)
d 2.242, rel. 10, (0 0 7)
d 2.065, rel. 18, (1 2 4)
d 1.941, rel. 12, (2 0 -1)
d 1.937, rel. 13, (0 4 -1)
d 1.736, rel. 18, (1 2 6)
d 1.667, rel. 11, (0 2 8)
d 1.618, rel. 33, (1 4 2)

Structural model:
```
data_Ba4CeEu3Tl2Cu4O18
_symmetry_space_group_name_H-M 'P 1'
_symmetry_Int_Tables_number 1
_symmetry_space_group_name_Hall 'P 1'
_cell_length_a 3.882
_cell_length_b 7.748
_cell_length_c 15.931
_cell_angle_alpha 96.96
_cell_angle_beta 97.00
_cell_angle_gamma 90.01
loop_
_atom_site_label
_atom_site_fract_x
_atom_site_fract_y
_atom_site_fract_z
Ba1 0.000 0.000 0.000
Ba2 0.000 0.500 0.000
Ba3 0.830 0.415 0.660
Ba4 0.831 0.915 0.661
Ce1 0.705 0.853 0.411
Eu1 0.123 0.063 0.247
Eu2 0.123 0.560 0.247
Eu3 0.706 0.353 0.413
Tl1 0.362 0.708 0.830
Tl2 0.467 0.208 0.830
Cu1 0.264 0.632 0.529
Cu2 0.265 0.133 0.529
Cu3 0.565 0.783 0.131
Cu4 0.566 0.283 0.130
O1 0.071 0.786 0.144
O2 0.072 0.285 0.141
O3 0.165 0.332 0.329
O4 0.168 0.834 0.336
O5 0.257 0.879 0.515
O6 0.259 0.380 0.518
O7 0.338 0.674 0.695
O8 0.358 0.174 0.695
O9 0.473 0.741 0.965
O10 0.492 0.241 0.965
O11 0.571 0.036 0.142
O12 0.571 0.535 0.142
O13 0.666 0.075 0.332
O14 0.666 0.591 0.332
O15 0.757 0.635 0.517
O16 0.759 0.124 0.517
O17 0.915 0.458 0.830
O18 0.915 0.957 0.830
```

Record 3
Diffraction record for Ba4CeCu3O9. The powder XRD pattern is simulated, not measured: it uses a DFT-relaxed cell (GGA-PBE, the Materials Project) and Cu Ka.
No peak broadening, texture or thermal motion is included.

The 10 most intense peaks (2θ = 10–90°), by angle:
d 5.820, rel. 5, (1 1 0)
d 4.115, rel. 3, (2 0 0)
d 2.910, rel. 100, (2 2 0)
d 2.376, rel. 6, (2 2 2)
d 2.058, rel. 27, (4 0 0)
d 1.680, rel. 39, (4 2 2)
d 1.455, rel. 17, (4 4 0)
d 1.301, rel. 17, (6 2 0)
d 1.188, rel. 6, (4 4 4)
d 1.100, rel. 21, (6 4 2)

Structural model:
```
data_Ba4CeCu3O9
_symmetry_space_group_name_H-M 'P m -3 n'
_symmetry_Int_Tables_number 223
_symmetry_space_group_name_Hall '-P 4n 2 3'
_cell_length_a 8.230
_cell_length_b 8.230
_cell_length_c 8.230
_cell_angle_alpha 90.00
_cell_angle_beta 90.00
_cell_angle_gamma 90.00
loop_
_atom_site_label
_atom_site_fract_x
_atom_site_fract_y
_atom_site_fract_z
Ba1 0.250 0.250 0.250
Ce1 0.000 0.000 0.000
Cu1 0.000 0.000 0.500
O1 0.000 0.000 0.270
O2 0.000 0.250 0.500
```

Record 4
Diffraction record for BaCeEuHfO6. The powder XRD pattern is simulated, not measured: it uses a DFT-relaxed cell (GGA-PBE, the Materials Project) and Cu Ka.
No peak broadening, texture or thermal motion is included.

The 10 most intense peaks (2θ = 10–90°), by angle:
d 3.040, rel. 100, (2 0 2)
d 2.151, rel. 17, (0 0 4)
d 2.146, rel. 9, (4 0 0)
d 1.755, rel. 45, (2 4 2)
d 1.521, rel. 10, (0 4 4)
d 1.361, rel. 6, (2 0 6)
d 1.359, rel. 6, (2 6 0)
d 1.358, rel. 6, (6 0 2)
d 1.150, rel. 11, (2 4 6)
d 1.148, rel. 11, (6 4 2)

Structural model:
```
data_BaCeEuHfO6
_symmetry_space_group_name_H-M 'P n n n'
_symmetry_Int_Tables_number 48
_cell_length_a 8.584
_cell_length_b 8.598
_cell_length_c 8.613
_cell_angle_alpha 90.00
_cell_angle_beta 90.00
_cell_angle_gamma 90.00
loop_
_symmetry_equiv_pos_as_xyz
'x,y,z'
'-x,-y,-z'
'-x+1/2,-y+1/2,z'
'x+1/2,y+1/2,-z'
'x,-y+1/2,-z+1/2'
'-x,y+1/2,z+1/2'
'-x+1/2,y,-z+1/2'
'x+1/2,-y,z+1/2'
loop_
_atom_site_label
_atom_site_fract_x
_atom_site_fract_y
_atom_site_fract_z
Ba1 0.250 0.250 0.250
Ba2 0.250 0.750 0.750
Ce1 0.000 0.000 0.000
Eu1 0.250 0.250 0.750
Eu2 0.250 0.750 0.250
Hf1 0.000 0.000 0.500
O1 0.030 0.237 0.463
O2 0.050 0.040 0.736
O3 0.237 0.548 0.043
```

Record 5
Diffraction record for BaCeEuHfO6. The powder XRD pattern is simulated, not measured: it uses a DFT-relaxed cell (GGA-PBE, the Materials Project) and Cu Ka.
No peak broadening, texture or thermal motion is included.

The 10 most intense peaks (2θ = 10–90°), by angle:
d 4.986, rel. 1, (1 1 1)
d 4.318, rel. 2, (2 0 0)
d 3.053, rel. 100, (2 2 0)
d 2.604, rel. 1, (3 1 1)
d 2.159, rel. 29, (4 0 0)
d 1.763, rel. 41, (4 2 2)
d 1.527, rel. 18, (4 4 0)
d 1.365, rel. 18, (6 2 0)
d 1.246, rel. 6, (4 4 4)
d 1.154, rel. 22, (6 4 2)

Structural model:
```
data_BaCeEuHfO6
_symmetry_space_group_name_H-M 'F -4 3 m'
_symmetry_Int_Tables_number 216
_symmetry_space_group_name_Hall 'F -4 2 3'
_cell_length_a 8.636
_cell_length_b 8.636
_cell_length_c 8.636
_cell_angle_alpha 90.00
_cell_angle_beta 90.00
_cell_angle_gamma 90.00
loop_
_atom_site_label
_atom_site_fract_x
_atom_site_fract_y
_atom_site_fract_z
Ba1 0.000 0.000 0.000
Ce1 0.250 0.250 0.250
Eu1 0.000 0.000 0.500
Hf1 0.250 0.250 0.750
O1 0.008 0.250 0.750
```

Record 6
Diffraction record for BaCeEuNbO6. The powder XRD pattern is simulated, not measured: it uses a DFT-relaxed cell (GGA-PBE, the Materials Project) and Cu Ka.
No peak broadening, texture or thermal motion is included.

The 10 most intense peaks (2θ = 10–90°), by angle:
d 4.969, rel. 1, (1 1 1)
d 3.043, rel. 100, (2 2 0)
d 2.595, rel. 1, (3 1 1)
d 2.485, rel. 4, (2 2 2)
d 2.152, rel. 30, (4 0 0)
d 1.757, rel. 41, (4 2 2)
d 1.522, rel. 19, (4 4 0)
d 1.361, rel. 18, (6 2 0)
d 1.242, rel. 6, (4 4 4)
d 1.150, rel. 21, (6 4 2)

Structural model:
```
data_BaCeEuNbO6
_symmetry_space_group_name_H-M 'F -4 3 m'
_symmetry_Int_Tables_number 216
_symmetry_space_group_name_Hall 'F -4 2 3'
_cell_length_a 8.607
_cell_length_b 8.607
_cell_length_c 8.607
_cell_angle_alpha 90.00
_cell_angle_beta 90.00
_cell_angle_gamma 90.00
loop_
_atom_site_label
_atom_site_fract_x
_atom_site_fract_y
_atom_site_fract_z
Ba1 0.000 0.000 0.000
Ce1 0.250 0.250 0.750
Eu1 0.000 0.000 0.500
Nb1 0.250 0.250 0.250
O1 0.013 0.250 0.250
```